This entry pairs a crystal structure of RbSn3As3 with its calculated X-ray powder pattern. Radiation: Cu Ka. Structure: a GGA-PBE-relaxed structure.

Crystal structure
```
data_RbSn3As3
_chemical_formula_sum 'Rb4 Sn12 As12'
_cell_length_a 10.6042
_cell_length_b 4.1710
_cell_length_c 20.1601
_cell_angle_alpha 90.00
_cell_angle_beta 90.00
_cell_angle_gamma 90.00
_space_group_name_H-M_alt 'P n m a'
_space_group_IT_number 62
loop_
_space_group_symop_operation_xyz
'x,y,z'
'-x,-y,-z'
'-x+1/2,-y,z+1/2'
'x+1/2,y,-z+1/2'
'x+1/2,-y+1/2,-z+1/2'
'-x+1/2,y+1/2,z+1/2'
'-x,y+1/2,-z'
'x,-y+1/2,z'
loop_
_atom_site_label
_atom_site_fract_x
_atom_site_fract_y
_atom_site_fract_z
_atom_site_occupancy
Rb1 0.2209 0.2500 0.0407 1
Sn1 0.0092 0.2500 0.6279 1
Sn2 0.1140 0.7500 0.2397 1
Sn3 0.1699 0.7500 0.8457 1
As1 0.0184 0.2500 0.8750 1
As2 0.1310 0.2500 0.4239 1
As3 0.2259 0.7500 0.7170 1
```

Peak list (10 most intense, 10 to 90 degrees two-theta, in order of rising 2θ)
24.37 deg, I = 36, hkl 2 0 4; 26.52 deg, I = 21, hkl 1 1 3; 27.57 deg, I = 100, hkl 2 1 1; 27.82 deg, I = 76, hkl 2 0 5; 28.63 deg, I = 60, hkl 2 1 2; 37.97 deg, I = 29, hkl 0 1 7; 42.59 deg, I = 38, hkl 4 1 3; 43.40 deg, I = 39, hkl 0 2 0; 46.41 deg, I = 31, hkl 4 1 5; 52.33 deg, I = 27, hkl 2 2 5